(1)
Theoretical powder diffractogram
Compound: YPO4
Radiation: Cu Kα
Structure: a structure optimized by DFT (PBE)
Peak positions follow from Bragg's law for the DFT cell and can differ from measured ones.

Crystal structure
```
YPO4
1.0
6.960 0.000 0.000
-3.480 6.028 0.000
0.000 0.000 6.292
Y P O
3 3 12
direct
0.000 0.500 0.167
0.500 0.000 0.500
0.500 0.500 0.833
0.000 0.500 0.667
0.500 0.000 0.000
0.500 0.500 0.333
0.141 0.445 0.819
0.141 0.696 0.514
0.304 0.445 0.181
0.304 0.859 0.153
0.445 0.141 0.847
0.445 0.304 0.486
0.555 0.696 0.486
0.555 0.859 0.847
0.696 0.141 0.153
0.696 0.555 0.181
0.859 0.304 0.514
0.859 0.555 0.819
```

Principal peaks in the range 10 to 90 degrees two-theta, low angle first:
14.70 deg, intensity 100.0
20.40 deg, intensity 28.1
25.60 deg, intensity 19.4
29.64 deg, intensity 75.9
32.09 deg, intensity 60.6
38.58 deg, intensity 16.1
42.18 deg, intensity 21.6
47.50 deg, intensity 15.1
49.39 deg, intensity 40.2
54.16 deg, intensity 22.6

(2)
Theoretical powder diffractogram
Compound: YPO4
Radiation: Cu Kα
Structure: a structure optimized by DFT (PBE)
Peak positions follow from Bragg's law for the DFT cell and can differ from measured ones.

Crystal structure
```
YPO4
1.0
-3.491 3.491 3.036
3.491 -3.491 3.036
3.491 3.491 -3.036
Y P O
2 2 8
direct
0.375 0.625 0.750
0.625 0.375 0.250
0.125 0.875 0.250
0.875 0.125 0.750
0.139 0.715 0.424
0.209 0.285 0.924
0.285 0.209 0.424
0.285 0.861 0.076
0.715 0.139 0.924
0.715 0.791 0.576
0.791 0.715 0.076
0.861 0.285 0.576
```

Principal peaks in the range 10 to 90 degrees two-theta, low angle first:
19.37 deg, intensity 22.1
25.51 deg, intensity 100.0
34.69 deg, intensity 54.4
36.39 deg, intensity 14.0
41.55 deg, intensity 18.0
49.40 deg, intensity 15.4
51.15 deg, intensity 48.0
52.42 deg, intensity 13.5
64.39 deg, intensity 14.8
76.28 deg, intensity 10.5

(3)
Theoretical powder diffractogram
Compound: YPO6
Radiation: Cu Kα
Structure: a structure optimized by DFT (PBE)
Peak positions follow from Bragg's law for the DFT cell and can differ from measured ones.

Crystal structure
```
YPO6
1.0
2.938 -7.772 0.000
2.938 7.772 0.000
-2.533 0.000 5.168
Y P O
2 2 12
direct
0.180 0.820 0.750
0.820 0.180 0.250
0.335 0.665 0.250
0.665 0.335 0.750
0.143 0.368 0.108
0.211 0.657 0.436
0.318 0.449 0.694
0.343 0.789 0.064
0.368 0.143 0.608
0.449 0.318 0.194
0.551 0.682 0.806
0.632 0.857 0.392
0.657 0.211 0.936
0.682 0.551 0.306
0.789 0.343 0.564
0.857 0.632 0.892
```

Principal peaks in the range 10 to 90 degrees two-theta, low angle first:
11.39 deg, intensity 100.0
18.87 deg, intensity 25.1
20.64 deg, intensity 86.9
28.74 deg, intensity 82.6
33.96 deg, intensity 18.1
34.70 deg, intensity 17.9
35.95 deg, intensity 18.6
36.42 deg, intensity 14.1
38.48 deg, intensity 26.3
42.86 deg, intensity 18.5

Copy entry 2 word for word.
Theoretical powder diffractogram
Compound: YPO4
Radiation: Cu Kα
Structure: a structure optimized by DFT (PBE)
Peak positions follow from Bragg's law for the DFT cell and can differ from measured ones.

Crystal structure
```
YPO4
1.0
-3.491 3.491 3.036
3.491 -3.491 3.036
3.491 3.491 -3.036
Y P O
2 2 8
direct
0.375 0.625 0.750
0.625 0.375 0.250
0.125 0.875 0.250
0.875 0.125 0.750
0.139 0.715 0.424
0.209 0.285 0.924
0.285 0.209 0.424
0.285 0.861 0.076
0.715 0.139 0.924
0.715 0.791 0.576
0.791 0.715 0.076
0.861 0.285 0.576
```

Principal peaks in the range 10 to 90 degrees two-theta, low angle first:
19.37 deg, intensity 22.1
25.51 deg, intensity 100.0
34.69 deg, intensity 54.4
36.39 deg, intensity 14.0
41.55 deg, intensity 18.0
49.40 deg, intensity 15.4
51.15 deg, intensity 48.0
52.42 deg, intensity 13.5
64.39 deg, intensity 14.8
76.28 deg, intensity 10.5